Computed XRD peak list of CuW2 for Cu Ka, from a crystal structure in OQMD, relaxed with GGA-PBE.

Atomic structure:
a b c (Å): 7.379 7.379 7.379
angles (deg): 90.00 90.00 90.00
Space group Fd-3m (No. 227, origin choice 2)
One atom of each set of equivalent atoms:
Cu: 0.125 0.125 0.125 [8 per cell]
W: 0.000 0.000 0.500 [16 per cell]

The 10 most intense peaks (10° ≤ 2θ ≤ 80°), in order of falling intensity:
| two_theta | Rel. int. | h k l |
| --- | --- | --- |
| 40.55 | 100 | 3 1 1 |
| 42.44 | 73 | 2 2 2 |
| 20.85 | 59 | 1 1 1 |
| 65.76 | 32 | 5 1 1 |
| 72.46 | 32 | 4 4 0 |
| 49.41 | 23 | 4 0 0 |
| 54.18 | 15 | 3 3 1 |
| 76.36 | 11 | 5 3 1 |
| 34.38 | 7 | 2 2 0 |
| 61.57 | 2 | 4 2 2 |